Record 1
For CaNi2O4, DFT lattice parameters and positions (PBE+U) gives the computed X-ray diffraction stick pattern in this record (a wavelength of 1.5418 Å).
No peak broadening, texture or thermal motion is included.

Unit cell a=3.0115 b=7.2455 c=8.4186 alpha=68.37 beta=79.76 gamma=78.25
Atoms (fractional coordinates):
Ca (0.0000, 0.0000, 0.0000)
Ca (0.2947, 0.7447, 0.6879)
Ni (0.0566, 0.2697, 0.6227)
Ni (0.2289, 0.4862, 0.0673)
Ni (0.4856, 0.6955, 0.3425)
Ni (0.8016, 0.0584, 0.3462)
O (0.0707, 0.6637, 0.2030)
O (0.2153, 0.0861, 0.4904)
O (0.4054, 0.9840, 0.2120)
O (0.5209, 0.4427, 0.5241)
O (0.5424, 0.1338, 0.7829)
O (0.7381, 0.6342, 0.9091)
O (0.7657, 0.3124, 0.1638)
O (0.8855, 0.7685, 0.4748)

The 10 most intense peaks (2θ = 10–90°), by intensity:
2θ (°), Rel. int.
28.66, 100
11.38, 93
40.62, 88
32.71, 58
22.14, 50
36.28, 34
35.29, 31
25.21, 30
59.64, 30
35.43, 30

Record 2
For CaNi2O4, DFT lattice parameters and positions (PBE+U) gives the computed X-ray diffraction stick pattern in this record (a wavelength of 1.5418 Å).
No peak broadening, texture or thermal motion is included.

Unit cell a=6.7696 b=6.7696 c=9.3876 alpha=124.26 beta=124.26 gamma=26.25
Atoms (fractional coordinates):
Ca (0.1533, 0.1533, 0.1729)
Ca (0.8467, 0.8467, 0.8271)
Ni (0.1392, 0.1392, 0.8328)
Ni (0.3636, 0.3636, 0.5319)
Ni (0.6364, 0.6364, 0.4681)
Ni (0.8608, 0.8608, 0.1672)
O (0.0390, 0.0390, 0.3044)
O (0.2528, 0.2528, 0.6143)
O (0.3400, 0.3400, 0.0047)
O (0.3660, 0.3660, 0.3033)
O (0.6340, 0.6340, 0.6967)
O (0.6600, 0.6600, 0.9953)
O (0.7472, 0.7472, 0.3857)
O (0.9610, 0.9610, 0.6956)

The 10 most intense peaks (2θ = 10–90°), by intensity:
2θ (°), Rel. int.
33.31, 100
31.41, 69
48.87, 65
41.45, 65
35.75, 56
19.16, 55
16.48, 55
34.21, 50
35.15, 40
35.29, 39

Record 3
For Ca2Ni3O8, DFT lattice parameters and positions (PBE+U) gives the computed X-ray diffraction stick pattern in this record (a wavelength of 1.5418 Å).
No peak broadening, texture or thermal motion is included.

Unit cell a=5.8291 b=5.8291 c=10.3993 alpha=90.00 beta=90.00 gamma=120.00
Atoms (fractional coordinates):
Ca (0.3333, 0.6667, 0.0000)
Ca (0.3333, 0.6667, 0.4063)
Ca (0.6667, 0.3333, 0.5000)
Ca (0.6667, 0.3333, 0.9063)
Ni (0.1649, 0.3298, 0.7190)
Ni (0.1649, 0.8351, 0.7190)
Ni (0.3298, 0.1649, 0.2190)
Ni (0.6702, 0.8351, 0.7190)
Ni (0.8351, 0.1649, 0.2190)
Ni (0.8351, 0.6702, 0.2190)
O (0.0000, 0.0000, 0.3107)
O (0.0000, 0.0000, 0.8107)
O (0.0436, 0.5218, 0.8173)
O (0.1519, 0.3037, 0.1276)
O (0.1519, 0.8481, 0.1276)
O (0.3037, 0.1519, 0.6276)
O (0.3333, 0.6667, 0.6267)
O (0.4782, 0.5218, 0.8173)
O (0.4782, 0.9564, 0.8173)
O (0.5218, 0.0436, 0.3173)
O (0.5218, 0.4782, 0.3173)
O (0.6667, 0.3333, 0.1267)
O (0.6963, 0.8481, 0.1276)
O (0.8481, 0.1519, 0.6276)
O (0.8481, 0.6963, 0.6276)
O (0.9564, 0.4782, 0.3173)

The 10 most intense peaks (2θ = 10–90°), by intensity:
2θ (°), Rel. int.
17.05, 100
36.64, 57
57.41, 52
35.30, 51
31.30, 47
24.58, 43
63.88, 32
44.40, 30
19.55, 26
50.39, 23